Record 1
For KMnO2, a cell relaxed with PBE+U gives the computed PXRD pattern in this record (a wavelength of 1.5418 Å).

Crystal structure
Unit cell a=6.4148 b=6.4148 c=10.7248 alpha=90.00 beta=90.00 gamma=90.00
Space group I4_1/amd (No. 141, origin choice 2)
One atom of each set of equivalent atoms:
K (0.0000, 0.0000, 0.0000) (multiplicity 8)
Mn (0.0000, 0.0000, 0.5000) (multiplicity 8)
O (0.0000, 0.0585, 0.2547) (multiplicity 16)

The 12 most intense peaks (15 to 90 degrees two-theta), by intensity:
- 2.753 Å, I 100, hkl 2 0 2
- 2.268 Å, I 89, hkl 2 2 0
- 2.681 Å, I 87, hkl 0 0 4
- 1.732 Å, I 69, hkl 2 2 4
- 1.386 Å, I 31, hkl 4 2 2
- 5.505 Å, I 27, hkl 1 0 1
- 1.376 Å, I 26, hkl 4 0 4
- 1.604 Å, I 23, hkl 4 0 0
- 1.561 Å, I 17, hkl 2 0 6
- 1.119 Å, I 15, hkl 4 2 6
- 1.154 Å, I 15, hkl 2 2 8
- 1.341 Å, I 7, hkl 0 0 8

Record 2
For Li3VB2O6, a cell relaxed with PBE+U gives the computed PXRD pattern in this record (a wavelength of 1.5418 Å).

Crystal structure
Unit cell a=5.2028 b=8.8859 c=11.1719 alpha=90.00 beta=116.81 gamma=90.00
Space group P2_1/c (No. 14)
One atom of each set of equivalent atoms:
Li (0.0148, 0.0261, 0.1696) (multiplicity 4)
Li (0.0478, 0.6585, 0.8791) (multiplicity 4)
Li (0.4245, 0.0149, 0.6016) (multiplicity 4)
V (0.4746, 0.6749, 0.6211) (multiplicity 4)
B (0.0450, 0.1774, 0.3787) (multiplicity 4)
B (0.4666, 0.1647, 0.1310) (multiplicity 4)
O (0.1206, 0.1824, 0.8470) (multiplicity 4)
O (0.1897, 0.6670, 0.0936) (multiplicity 4)
O (0.2023, 0.0520, 0.3820) (multiplicity 4)
O (0.3230, 0.6709, 0.4139) (multiplicity 4)
O (0.3554, 0.0254, 0.1418) (multiplicity 4)
O (0.3672, 0.2075, 0.6676) (multiplicity 4)

The 12 most intense peaks (15 to 90 degrees two-theta), by intensity:
- 2.493 Å, I 100, hkl 0 0 4
- 4.348 Å, I 66, hkl 0 1 2
- 2.574 Å, I 63, hkl 1 3 -1
- 4.644 Å, I 52, hkl 1 0 0
- 4.443 Å, I 40, hkl 0 2 0
- 3.360 Å, I 27, hkl 1 1 1
- 2.196 Å, I 23, hkl 2 2 -1
- 2.601 Å, I 22, hkl 2 0 -2
- 1.784 Å, I 22, hkl 1 3 -5
- 1.682 Å, I 19, hkl 3 1 -2
- 1.497 Å, I 18, hkl 3 3 -3
- 1.813 Å, I 16, hkl 1 1 -6